1.
The following is a computed powder X-ray diffraction pattern of Tb2Y3Tm7. It was derived from a PBE-relaxed structure, using copper Kα.

Most intense lines, 15° ≤ 2θ ≤ 90°, low angle first:
| 2θ/deg | d/Å | I (rel.) |
| --- | --- | --- |
| 30.8 | 2.902 | 39 |
| 31.5 | 2.839 | 30 |
| 31.8 | 2.813 | 64 |
| 32.0 | 2.799 | 100 |
| 34.1 | 2.627 | 46 |
| 35.1 | 2.554 | 30 |
| 45.4 | 1.998 | 22 |
| 56.8 | 1.621 | 20 |

Structural model:
```
data_Tb2Y3Tm7
_cell_length_a 18.8399
_cell_length_b 18.8399
_cell_length_c 3.5808
_cell_angle_alpha 90.00
_cell_angle_beta 90.00
_cell_angle_gamma 162.83
_symmetry_space_group_name_H-M 'P 1'
_symmetry_Int_Tables_number 1
_symmetry_space_group_name_Hall 'P 1'
loop_
_atom_site_label
_atom_site_fract_x
_atom_site_fract_y
_atom_site_fract_z
Tb1 0.1467 0.8533 0.0000
Tb2 0.8533 0.1467 0.0000
Y1 0.3150 0.6850 0.5000
Y2 0.5000 0.5000 0.5000
Y3 0.6850 0.3150 0.5000
Tm1 0.0000 0.0000 0.0000
Tm2 0.0712 0.9288 0.5000
Tm3 0.2305 0.7695 0.0000
Tm4 0.4093 0.5907 0.0000
Tm5 0.5907 0.4093 0.0000
Tm6 0.7695 0.2305 0.0000
Tm7 0.9288 0.0712 0.5000
```



2.
The following is a computed powder X-ray diffraction pattern of Tb8YTm5. It was derived from a PBE-relaxed structure, using copper Kα.

Most intense lines, 15° ≤ 2θ ≤ 90°, low angle first:
| 2θ/deg | d/Å | I (rel.) |
| --- | --- | --- |
| 28.1 | 3.173 | 46 |
| 29.5 | 3.024 | 60 |
| 29.7 | 3.006 | 68 |
| 32.0 | 2.798 | 23 |
| 34.0 | 2.639 | 100 |
| 34.7 | 2.583 | 37 |
| 35.2 | 2.551 | 46 |
| 63.3 | 1.469 | 29 |

Structural model:
```
data_Tb8YTm5
_cell_length_a 8.4070
_cell_length_b 8.4070
_cell_length_c 8.4070
_cell_angle_alpha 111.14
_cell_angle_beta 111.14
_cell_angle_gamma 106.18
_symmetry_space_group_name_H-M 'P 1'
_symmetry_Int_Tables_number 1
_symmetry_space_group_name_Hall 'P 1'
loop_
_atom_site_label
_atom_site_fract_x
_atom_site_fract_y
_atom_site_fract_z
Tb1 0.1570 0.4195 0.0820
Tb2 0.3376 0.0751 0.9180
Tb3 0.4214 0.1667 0.3945
Tb4 0.5805 0.6624 0.7375
Tb5 0.7722 0.0269 0.6055
Tb6 0.8333 0.2278 0.2547
Tb7 0.9249 0.8430 0.2625
Tb8 0.9731 0.5786 0.7453
Y1 0.2500 0.7500 0.5000
Tm1 0.0000 0.0000 0.0000
Tm2 0.2186 0.3149 0.6811
Tm3 0.4625 0.7814 0.0963
Tm4 0.6338 0.5375 0.3189
Tm5 0.6851 0.3662 0.9037
```



3.
The following is a computed powder X-ray diffraction pattern of Tb2Y12Tm. It was derived from a PBE-relaxed structure, using copper Kα.

Most intense lines, 15° ≤ 2θ ≤ 90°, low angle first:
| 2θ/deg | d/Å | I (rel.) |
| --- | --- | --- |
| 26.6 | 3.357 | 13 |
| 29.9 | 2.988 | 13 |
| 30.9 | 2.892 | 33 |
| 31.4 | 2.847 | 42 |
| 32.1 | 2.791 | 100 |
| 34.4 | 2.610 | 15 |
| 47.7 | 1.907 | 15 |
| 56.3 | 1.633 | 20 |

Structural model:
```
data_Tb2Y12Tm
_cell_length_a 3.6438
_cell_length_b 5.6941
_cell_length_c 23.5634
_cell_angle_alpha 90.00
_cell_angle_beta 94.35
_cell_angle_gamma 90.00
_symmetry_space_group_name_H-M 'P 1'
_symmetry_Int_Tables_number 1
_symmetry_space_group_name_Hall 'P 1'
loop_
_atom_site_label
_atom_site_fract_x
_atom_site_fract_y
_atom_site_fract_z
Tb1 0.1437 0.0000 0.2842
Tb2 0.8563 0.0000 0.7158
Y1 0.0956 0.5000 0.1923
Y2 0.2231 0.5000 0.4426
Y3 0.2842 0.0000 0.5750
Y4 0.3383 0.5000 0.6785
Y5 0.4260 0.0000 0.8546
Y6 0.4690 0.5000 0.9344
Y7 0.5310 0.5000 0.0656
Y8 0.5740 0.0000 0.1454
Y9 0.6617 0.5000 0.3215
Y10 0.7158 0.0000 0.4250
Y11 0.7769 0.5000 0.5574
Y12 0.9044 0.5000 0.8077
Tm1 0.0000 0.0000 0.0000
```



4.
The following is a computed powder X-ray diffraction pattern of Tb5Y12Tm. It was derived from a PBE-relaxed structure, using copper Kα.

Most intense lines, 15° ≤ 2θ ≤ 90°, low angle first:
| 2θ/deg | d/Å | I (rel.) |
| --- | --- | --- |
| 25.7 | 3.469 | 6 |
| 30.7 | 2.910 | 100 |
| 35.6 | 2.520 | 50 |
| 51.3 | 1.782 | 35 |
| 61.0 | 1.519 | 41 |
| 64.0 | 1.455 | 12 |
| 83.6 | 1.156 | 17 |
| 86.4 | 1.126 | 10 |

Structural model:
```
data_Tb5Y12Tm
_cell_length_a 10.6934
_cell_length_b 10.6934
_cell_length_c 5.0366
_cell_angle_alpha 90.00
_cell_angle_beta 90.00
_cell_angle_gamma 90.09
_symmetry_space_group_name_H-M 'P 1'
_symmetry_Int_Tables_number 1
_symmetry_space_group_name_Hall 'P 1'
loop_
_atom_site_label
_atom_site_fract_x
_atom_site_fract_y
_atom_site_fract_z
Tb1 0.0000 0.0000 0.0000
Tb2 0.1667 0.8333 0.5000
Tb3 0.3338 0.6662 0.0000
Tb4 0.6662 0.3338 0.0000
Tb5 0.8333 0.1667 0.5000
Y1 0.0007 0.6670 0.0000
Y2 0.1661 0.1661 0.5000
Y3 0.1681 0.5007 0.5000
Y4 0.3330 0.9993 0.0000
Y5 0.3346 0.3346 0.0000
Y6 0.4993 0.8319 0.5000
Y7 0.5007 0.1681 0.5000
Y8 0.6654 0.6654 0.0000
Y9 0.6670 0.0007 0.0000
Y10 0.8319 0.4993 0.5000
Y11 0.8339 0.8339 0.5000
Y12 0.9993 0.3330 0.0000
Tm1 0.5000 0.5000 0.5000
```



5.
The following is a computed powder X-ray diffraction pattern of Tb2YTm. It was derived from a PBE-relaxed structure, using copper Kα.

Most intense lines, 15° ≤ 2θ ≤ 90°, low angle first:
| 2θ/deg | d/Å | I (rel.) |
| --- | --- | --- |
| 30.0 | 2.980 | 55 |
| 31.2 | 2.868 | 37 |
| 33.0 | 2.718 | 100 |
| 37.5 | 2.401 | 30 |
| 51.3 | 1.782 | 27 |
| 56.6 | 1.625 | 21 |
| 61.2 | 1.513 | 32 |
| 62.3 | 1.490 | 16 |

Structural model:
```
data_Tb2YTm
_cell_length_a 3.5638
_cell_length_b 11.4705
_cell_length_c 12.3431
_cell_angle_alpha 90.00
_cell_angle_beta 90.00
_cell_angle_gamma 90.00
_symmetry_space_group_name_H-M 'P 1'
_symmetry_Int_Tables_number 1
_symmetry_space_group_name_Hall 'P 1'
loop_
_atom_site_label
_atom_site_fract_x
_atom_site_fract_y
_atom_site_fract_z
Tb1 0.2499 0.0013 0.2082
Tb2 0.2498 0.4984 0.0418
Tb3 0.2502 0.5016 0.5418
Tb4 0.2501 0.9987 0.7082
Tb5 0.7498 0.0016 0.9582
Tb6 0.7499 0.4987 0.7918
Tb7 0.7501 0.5013 0.2918
Tb8 0.7502 0.9984 0.4582
Y1 0.2490 0.7498 0.8737
Y2 0.2510 0.2502 0.3737
Y3 0.7490 0.7502 0.1263
Y4 0.7510 0.2498 0.6263
Tm1 0.2495 0.7501 0.3763
Tm2 0.2505 0.2499 0.8763
Tm3 0.7495 0.7499 0.6237
Tm4 0.7505 0.2501 0.1237
```



6.
The following is a computed powder X-ray diffraction pattern of Tb2Y5Tm2. It was derived from a PBE-relaxed structure, using copper Kα.

Most intense lines, 15° ≤ 2θ ≤ 90°, low angle first:
| 2θ/deg | d/Å | I (rel.) |
| --- | --- | --- |
| 30.9 | 2.898 | 100 |
| 35.8 | 2.510 | 51 |
| 51.4 | 1.776 | 12 |
| 51.5 | 1.774 | 23 |
| 61.2 | 1.514 | 24 |
| 61.3 | 1.512 | 17 |
| 84.1 | 1.151 | 11 |
| 86.8 | 1.122 | 9 |

Structural model:
```
data_Tb2Y5Tm2
_cell_length_a 3.5514
_cell_length_b 6.1430
_cell_length_c 13.7444
_cell_angle_alpha 90.04
_cell_angle_beta 97.31
_cell_angle_gamma 106.74
_symmetry_space_group_name_H-M 'P 1'
_symmetry_Int_Tables_number 1
_symmetry_space_group_name_Hall 'P 1'
loop_
_atom_site_label
_atom_site_fract_x
_atom_site_fract_y
_atom_site_fract_z
Tb1 0.1656 0.1076 0.2234
Tb2 0.8344 0.8924 0.7766
Y1 0.1664 0.4467 0.8869
Y2 0.1662 0.7759 0.5558
Y3 0.5000 0.0000 0.0000
Y4 0.8338 0.2241 0.4442
Y5 0.8336 0.5533 0.1131
Tm1 0.4994 0.3329 0.6660
Tm2 0.5006 0.6671 0.3340
```